[1]
K2Sr2Ti: computed powder diffractogram (λ = 1.5418 Å (Cu Kα)), based on DFT lattice parameters and positions (GGA-PBE).
Kinematic intensities with the Lorentz-polarization factor, no thermal factor.

Principal peaks in the range 10° ≤ 2θ ≤ 90°, by angle:
2θ 12.5, d 7.086, I = 36, (0 0 1); 2θ 22.5, d 3.959, I = 10, (2 1 0); 2θ 25.1, d 3.543, I = 34, (0 0 2); 2θ 25.8, d 3.456, I = 100, (2 1 1); 2θ 32.0, d 2.799, I = 23, (3 1 0); 2θ 34.4, d 2.604, I = 12, (3 1 1); 2θ 41.1, d 2.197, I = 22, (3 1 2); 2θ 44.1, d 2.055, I = 24, (4 1 1); 2θ 44.7, d 2.029, I = 21, (2 1 3); 2θ 58.1, d 1.589, I = 10, (4 1 3)

Structural model:
a b c (Å): 8.852 8.852 7.086
angles (deg): 90.00 90.00 90.00
Space group P4/mbm (No. 127)
Symmetry-distinct sites (fractional):
K: 0.174 0.326 0.000
Sr: 0.166 0.666 0.500
Ti: 0.000 0.000 0.500

[2]
Tl7SnS6: computed powder diffractogram (λ = 1.5418 Å (Cu Kα)), based on DFT lattice parameters and positions (GGA-PBE).
Kinematic intensities with the Lorentz-polarization factor, no thermal factor.

Principal peaks in the range 10° ≤ 2θ ≤ 90°, by angle:
2θ 24.0, d 3.711, I = 100, (0 2 4); 2θ 25.1, d 3.545, I = 21, (2 1 1); 2θ 25.7, d 3.463, I = 24, (2 0 2); 2θ 29.0, d 3.075, I = 33, (2 2 2); 2θ 29.7, d 3.011, I = 54, (1 4 1); 2θ 30.8, d 2.904, I = 31, (1 2 5); 2θ 35.3, d 2.540, I = 19, (2 1 5); 2θ 37.4, d 2.406, I = 20, (2 4 2); 2θ 40.5, d 2.230, I = 18, (0 0 8); 2θ 41.0, d 2.202, I = 29, (2 2 6)

Structural model:
a b c (Å): 7.515 13.376 17.841
angles (deg): 90.00 90.00 90.00
Space group Ibam (No. 72)
Symmetry-distinct sites (fractional):
Tl: 0.000 0.000 0.250
Tl: 0.175 0.299 0.112
Tl: 0.242 0.468 0.500
Sn: 0.000 0.500 0.250
S: 0.021 0.177 0.500
S: 0.199 0.402 0.328

[3]
ZrInSb: computed powder diffractogram (λ = 1.5418 Å (Cu Kα)), based on DFT lattice parameters and positions (GGA-PBE).
Kinematic intensities with the Lorentz-polarization factor, no thermal factor.

Principal peaks in the range 10° ≤ 2θ ≤ 90°, by angle:
2θ 30.5, d 2.930, I = 21, (1 1 1); 2θ 34.7, d 2.582, I = 100, (1 3 1); 2θ 34.9, d 2.574, I = 30, (0 6 0); 2θ 38.1, d 2.365, I = 21, (0 2 2); 2θ 42.1, d 2.146, I = 13, (1 5 1); 2θ 48.8, d 1.866, I = 13, (2 0 0); 2θ 61.4, d 1.511, I = 12, (2 6 0); 2θ 61.6, d 1.507, I = 10, (1 1 3); 2θ 62.4, d 1.488, I = 14, (1 9 1); 2θ 69.1, d 1.359, I = 11, (1 5 3)

Structural model:
a b c (Å): 3.733 15.446 4.968
angles (deg): 90.00 90.00 90.00
Space group Cmc2_1 (No. 36)
Symmetry-distinct sites (fractional):
Zr: 0.000 0.080 0.000
In: 0.000 0.254 0.677
Sb: 0.000 0.430 0.015

[4]
Nd5Bi4O: computed powder diffractogram (λ = 1.5418 Å (Cu Kα)), based on DFT lattice parameters and positions (GGA-PBE).
Kinematic intensities with the Lorentz-polarization factor, no thermal factor.

Principal peaks in the range 10° ≤ 2θ ≤ 90°, by angle:
2θ 27.5, d 3.245, I = 50, (0 0 2); 2θ 28.5, d 3.129, I = 100, (1 3 0); 2θ 30.4, d 2.942, I = 16, (3 0 1); 2θ 40.0, d 2.253, I = 76, (1 3 2); 2θ 40.8, d 2.213, I = 35, (4 2 0); 2θ 49.9, d 1.828, I = 35, (4 2 2); 2θ 64.7, d 1.440, I = 17, (1 3 4); 2θ 66.3, d 1.409, I = 13, (2 6 2); 2θ 66.8, d 1.400, I = 14, (7 1 0); 2θ 73.7, d 1.285, I = 18, (7 1 2)

Structural model:
a b c (Å): 9.896 9.896 6.490
angles (deg): 90.00 90.00 90.00
Space group I4 (No. 79)
Symmetry-distinct sites (fractional):
Nd: 0.000 0.000 0.000
Nd: 0.098 0.274 0.408
Bi: 0.088 0.304 0.907
O: 0.000 0.000 0.342